Record 1
Diffraction record for Ta2Co21B6. The powder diffractogram is theoretical, not measured: it uses DFT lattice parameters and positions (GGA-PBE) and Cu Kα (weighted mean of Kα1 and Kα2).
Lines closer than 0.1° are merged.

Structure:
```
data_Ta2Co21B6
_chemical_formula_sum 'Ta2 Co21 B6'
_symmetry_space_group_name_H-M 'P 1'
_symmetry_Int_Tables_number 1
_symmetry_space_group_name_Hall 'P 1'
_cell_length_a 7.418
_cell_length_b 7.418
_cell_length_c 7.418
_cell_angle_alpha 60.00
_cell_angle_beta 60.00
_cell_angle_gamma 60.00
loop_
_atom_site_label
_atom_site_fract_x
_atom_site_fract_y
_atom_site_fract_z
Ta1 0.250 0.250 0.250
Ta2 0.750 0.750 0.750
Co1 0.000 0.000 0.000
Co2 0.000 0.000 0.338
Co3 0.000 0.000 0.662
Co4 0.000 0.338 0.000
Co5 0.000 0.338 0.662
Co6 0.000 0.662 0.000
Co7 0.000 0.662 0.338
Co8 0.151 0.616 0.616
Co9 0.338 0.000 0.000
Co10 0.338 0.000 0.662
Co11 0.338 0.662 0.000
Co12 0.384 0.384 0.384
Co13 0.384 0.384 0.849
Co14 0.384 0.849 0.384
Co15 0.616 0.151 0.616
Co16 0.616 0.616 0.151
Co17 0.616 0.616 0.616
Co18 0.662 0.000 0.000
Co19 0.662 0.000 0.338
Co20 0.662 0.338 0.000
Co21 0.849 0.384 0.384
B1 0.274 0.274 0.726
B2 0.274 0.726 0.274
B3 0.274 0.726 0.726
B4 0.726 0.274 0.274
B5 0.726 0.274 0.726
B6 0.726 0.726 0.274
```

Peak list (10 most intense, 10 to 80 degrees two-theta, sorted by position)
2θ/deg  d/Å  I_rel
16.90  5.245  31
23.99  3.709  23
38.37  2.346  83
42.20  2.141  80
44.90  2.019  100
49.13  1.854  43
51.54  1.773  26
58.35  1.582  25
74.60  1.272  24
77.15  1.236  41

=====

Record 2
Diffraction record for Pr3TlPd4. The powder diffractogram is theoretical, not measured: it uses DFT lattice parameters and positions (GGA-PBE) and Cu Kα (weighted mean of Kα1 and Kα2).
Lines closer than 0.1° are merged.

Structure:
```
data_Pr3TlPd4
_chemical_formula_sum 'Pr6 Tl2 Pd8'
_symmetry_space_group_name_H-M 'P 1'
_symmetry_Int_Tables_number 1
_symmetry_space_group_name_Hall 'P 1'
_cell_length_a 3.982
_cell_length_b 6.762
_cell_length_c 15.142
_cell_angle_alpha 90.00
_cell_angle_beta 90.00
_cell_angle_gamma 90.00
loop_
_atom_site_label
_atom_site_fract_x
_atom_site_fract_y
_atom_site_fract_z
Pr1 0.000 0.000 0.000
Pr2 0.000 0.500 0.190
Pr3 0.000 0.500 0.810
Pr4 0.500 0.000 0.310
Pr5 0.500 0.000 0.690
Pr6 0.500 0.500 0.500
Tl1 0.000 0.000 0.500
Tl2 0.500 0.500 0.000
Pd1 0.000 0.301 0.371
Pd2 0.000 0.301 0.629
Pd3 0.000 0.699 0.371
Pd4 0.000 0.699 0.629
Pd5 0.500 0.199 0.129
Pd6 0.500 0.199 0.871
Pd7 0.500 0.801 0.129
Pd8 0.500 0.801 0.871
```

Peak list (10 most intense, 10 to 80 degrees two-theta, sorted by position)
2θ/deg  d/Å  I_rel
28.56  3.125  100
32.39  2.764  20
35.31  2.542  55
35.59  2.522  61
37.31  2.410  19
39.25  2.295  46
45.57  1.991  26
47.89  1.900  34
59.12  1.563  29
68.94  1.362  25

=====

Record 3
Diffraction record for PmY5Tl3. The powder diffractogram is theoretical, not measured: it uses DFT lattice parameters and positions (GGA-PBE) and Cu Kα (weighted mean of Kα1 and Kα2).
Lines closer than 0.1° are merged.

Structure:
```
data_PmY5Tl3
_chemical_formula_sum 'Pm2 Y10 Tl6'
_symmetry_space_group_name_H-M 'P 1'
_symmetry_Int_Tables_number 1
_symmetry_space_group_name_Hall 'P 1'
_cell_length_a 9.424
_cell_length_b 9.424
_cell_length_c 6.763
_cell_angle_alpha 90.00
_cell_angle_beta 90.00
_cell_angle_gamma 120.00
loop_
_atom_site_label
_atom_site_fract_x
_atom_site_fract_y
_atom_site_fract_z
Pm1 0.000 0.000 0.000
Pm2 0.000 0.000 0.500
Y1 0.000 0.329 0.250
Y2 0.000 0.671 0.750
Y3 0.329 0.000 0.250
Y4 0.329 0.329 0.750
Y5 0.333 0.667 0.000
Y6 0.333 0.667 0.500
Y7 0.667 0.333 0.000
Y8 0.667 0.333 0.500
Y9 0.671 0.000 0.750
Y10 0.671 0.671 0.250
Tl1 0.000 0.340 0.750
Tl2 0.000 0.660 0.250
Tl3 0.340 0.000 0.750
Tl4 0.340 0.340 0.250
Tl5 0.660 0.000 0.250
Tl6 0.660 0.660 0.750
```

Peak list (10 most intense, 10 to 80 degrees two-theta, sorted by position)
2θ/deg  d/Å  I_rel
23.00  3.866  26
26.36  3.382  12
32.59  2.747  84
32.92  2.721  100
42.65  2.120  20
47.01  1.933  30
58.58  1.576  31
58.79  1.571  19
64.94  1.436  28
78.45  1.219  13

=====

Record 4
Diffraction record for Sn3HgSe4. The powder diffractogram is theoretical, not measured: it uses DFT lattice parameters and positions (GGA-PBE) and Cu Kα (weighted mean of Kα1 and Kα2).
Lines closer than 0.1° are merged.

Structure:
```
data_Sn3HgSe4
_chemical_formula_sum 'Sn3 Hg1 Se4'
_symmetry_space_group_name_H-M 'P 1'
_symmetry_Int_Tables_number 1
_symmetry_space_group_name_Hall 'P 1'
_cell_length_a 19.039
_cell_length_b 19.039
_cell_length_c 19.039
_cell_angle_alpha 12.69
_cell_angle_beta 12.69
_cell_angle_gamma 12.69
loop_
_atom_site_label
_atom_site_fract_x
_atom_site_fract_y
_atom_site_fract_z
Sn1 0.000 0.000 0.000
Sn2 0.245 0.245 0.245
Sn3 0.754 0.754 0.754
Hg1 0.501 0.501 0.501
Se1 0.062 0.062 0.062
Se2 0.308 0.308 0.308
Se3 0.553 0.553 0.553
Se4 0.818 0.818 0.818
```

Peak list (10 most intense, 10 to 80 degrees two-theta, sorted by position)
2θ/deg  d/Å  I_rel
18.80  4.721  50
25.23  3.531  100
35.34  2.540  63
40.32  2.237  28
42.97  2.105  46
47.28  1.922  29
50.48  1.808  15
56.81  1.621  16
68.41  1.371  13
73.79  1.284  15

=====

Record 5
Diffraction record for Pm2Dy3Er4. The powder diffractogram is theoretical, not measured: it uses DFT lattice parameters and positions (GGA-PBE) and Cu Kα (weighted mean of Kα1 and Kα2).
Lines closer than 0.1° are merged.

Structure:
```
data_Pm2Dy3Er4
_chemical_formula_sum 'Pm4 Dy6 Er8'
_symmetry_space_group_name_H-M 'P 1'
_symmetry_Int_Tables_number 1
_symmetry_space_group_name_Hall 'P 1'
_cell_length_a 9.961
_cell_length_b 9.961
_cell_length_c 6.109
_cell_angle_alpha 94.96
_cell_angle_beta 94.96
_cell_angle_gamma 70.84
loop_
_atom_site_label
_atom_site_fract_x
_atom_site_fract_y
_atom_site_fract_z
Pm1 0.021 0.733 0.677
Pm2 0.267 0.979 0.823
Pm3 0.733 0.021 0.177
Pm4 0.979 0.267 0.323
Dy1 0.097 0.903 0.250
Dy2 0.238 0.433 0.402
Dy3 0.433 0.238 0.902
Dy4 0.567 0.762 0.098
Dy5 0.762 0.567 0.598
Dy6 0.903 0.097 0.750
Er1 0.077 0.355 0.849
Er2 0.313 0.595 0.984
Er3 0.355 0.077 0.349
Er4 0.405 0.687 0.516
Er5 0.595 0.313 0.484
Er6 0.645 0.923 0.651
Er7 0.687 0.405 0.016
Er8 0.923 0.645 0.151
```

Peak list (10 most intense, 10 to 80 degrees two-theta, sorted by position)
2θ/deg  d/Å  I_rel
28.51  3.130  12
30.37  2.943  58
30.96  2.889  100
31.91  2.804  93
37.68  2.388  31
38.15  2.359  26
50.44  1.809  13
51.57  1.772  11
56.18  1.637  20
58.54  1.577  12

=====

Q: Which formula does entry 3 have?
A: PmY5Tl3